This entry pairs a crystal structure of LaPrY14 with its calculated X-ray diffraction stick pattern. Radiation: copper Kα. Structure: a DFT-relaxed cell (GGA-PBE, Alexandria).

Cell and atoms:
```
data_LaPrY14
_cell_length_a 7.1892
_cell_length_b 7.1892
_cell_length_c 10.1547
_cell_angle_alpha 90.00
_cell_angle_beta 90.00
_cell_angle_gamma 90.00
_symmetry_space_group_name_H-M 'P 4/m m m'
_symmetry_Int_Tables_number 123
_symmetry_space_group_name_Hall '-P 4 2'
loop_
_atom_site_label
_atom_site_fract_x
_atom_site_fract_y
_atom_site_fract_z
La1 0.0000 0.0000 0.0000
Pr1 0.5000 0.5000 0.0000
Y1 0.0000 0.0000 0.5000
Y2 0.0000 0.5000 0.0000
Y3 0.0000 0.5000 0.5000
Y4 0.2503 0.2503 0.2529
Y5 0.5000 0.5000 0.5000
```

Largest 8 diffraction maxima, most intense first, 10° ≤ 2θ ≤ 90°:
30.47 deg, I 100
35.33 deg, I 50
60.42 deg, I 41
50.82 deg, I 35
82.80 deg, I 16
63.41 deg, I 12
85.42 deg, I 10
85.51 deg, I 5

***

This entry pairs a crystal structure of La3Pr3Y4 with its calculated X-ray diffraction stick pattern. Radiation: copper Kα. Structure: a DFT-relaxed cell (GGA-PBE, Alexandria).

Cell and atoms:
```
data_La3Pr3Y4
_cell_length_a 3.6760
_cell_length_b 13.9750
_cell_length_c 13.9766
_cell_angle_alpha 90.00
_cell_angle_beta 90.00
_cell_angle_gamma 90.00
_symmetry_space_group_name_H-M 'A m m 2'
_symmetry_Int_Tables_number 38
loop_
_symmetry_equiv_pos_as_xyz
'x,y,z'
'-x,-y,z'
'-x,y,z'
'x,-y,z'
'x,y+1/2,z+1/2'
'-x,-y+1/2,z+1/2'
'-x,y+1/2,z+1/2'
'x,-y+1/2,z+1/2'
loop_
_atom_site_label
_atom_site_fract_x
_atom_site_fract_y
_atom_site_fract_z
La1 0.0000 0.0000 0.0000
La2 0.5000 0.2491 0.5749
Pr1 0.0000 0.0000 0.6491
Pr2 0.0000 0.1750 0.3246
Y1 0.5000 0.0000 0.2035
Y2 0.5000 0.0000 0.4460
Y3 0.5000 0.1217 0.8233
```

Largest 8 diffraction maxima, most intense first, 10° ≤ 2θ ≤ 90°:
31.66 deg, I 100
28.56 deg, I 74
30.30 deg, I 50
53.45 deg, I 23
25.49 deg, I 22
58.23 deg, I 20
37.52 deg, I 18
46.14 deg, I 18

***

This entry pairs a crystal structure of LaPr2Y4 with its calculated X-ray diffraction stick pattern. Radiation: copper Kα. Structure: a DFT-relaxed cell (GGA-PBE, Alexandria).

Cell and atoms:
```
data_LaPr2Y4
_cell_length_a 3.6054
_cell_length_b 3.6054
_cell_length_c 64.2768
_cell_angle_alpha 90.00
_cell_angle_beta 90.00
_cell_angle_gamma 120.00
_symmetry_space_group_name_H-M 'R -3 m'
_symmetry_Int_Tables_number 166
_symmetry_space_group_name_Hall '-R 3 2"'
loop_
_atom_site_label
_atom_site_fract_x
_atom_site_fract_y
_atom_site_fract_z
La1 0.0000 0.0000 0.0000
Pr1 0.0000 0.0000 0.2343
Y1 0.0000 0.0000 0.1440
Y2 0.0000 0.0000 0.2881
```

Largest 8 diffraction maxima, most intense first, 10° ≤ 2θ ≤ 90°:
29.16 deg, I 100
33.96 deg, I 63
59.51 deg, I 52
50.64 deg, I 44
30.72 deg, I 42
28.73 deg, I 42
34.75 deg, I 41
30.23 deg, I 31